# Cr9Ru4Rh11
Theoretical powder X-ray diffraction pattern, Cu Kα X-rays. Input: DFT lattice parameters and positions (GGA-PBE).
Intensities are scaled so that the largest is 100.

Main lines, most intense first (10 to 90 degrees two-theta):
| Position (°2θ) | d_spacing | I/Imax |
| --- | --- | --- |
| 41.96 | 2.153 | 100 |
| 42.77 | 2.114 | 91 |
| 43.16 | 2.096 | 84 |
| 40.69 | 2.217 | 62 |
| 45.64 | 1.988 | 57 |
| 39.53 | 2.280 | 52 |

Atomic structure:
a b c (Å): 11.1848 11.1848 2.6736
angles (deg): 90.00 90.00 105.75
Positions (direct):
Cr1 0.0000 0.0000 0.0000
Cr2 0.0770 0.6624 0.0000
Cr3 0.3095 0.5147 0.0000
Cr4 0.3376 0.9230 0.0000
Cr5 0.4853 0.6905 0.0000
Cr6 0.5147 0.3095 0.0000
Cr7 0.6624 0.0770 0.0000
Cr8 0.6905 0.4853 0.0000
Cr9 0.9230 0.3376 0.0000
Ru1 0.0868 0.2391 0.0000
Ru2 0.2391 0.0868 0.0000
Ru3 0.7609 0.9132 0.0000
Ru4 0.9132 0.7609 0.0000
Rh1 0.1090 0.4727 0.5000
Rh2 0.1284 0.8716 0.5000
Rh3 0.2878 0.7122 0.5000
Rh4 0.3062 0.3062 0.5000
Rh5 0.4727 0.1090 0.5000
Rh6 0.5000 0.5000 0.5000
Rh7 0.5273 0.8910 0.5000
Rh8 0.6938 0.6938 0.5000
Rh9 0.7122 0.2878 0.5000
Rh10 0.8716 0.1284 0.5000
Rh11 0.8910 0.5273 0.5000

# Mg6CuPb
Theoretical powder X-ray diffraction pattern, Cu Kα X-rays. Input: DFT lattice parameters and positions (GGA-PBE).
Intensities are scaled so that the largest is 100.

Main lines, most intense first (10 to 90 degrees two-theta):
| Position (°2θ) | d_spacing | I/Imax |
| --- | --- | --- |
| 26.69 | 3.341 | 100 |
| 34.09 | 2.630 | 59 |
| 20.82 | 4.266 | 55 |
| 16.51 | 5.371 | 53 |
| 30.79 | 2.904 | 47 |
| 39.66 | 2.273 | 47 |

Atomic structure:
a b c (Å): 4.2661 4.2661 10.7416
angles (deg): 90.00 90.00 90.00
Positions (direct):
Mg1 0.0000 0.0000 0.1372
Mg2 0.0000 0.0000 0.8628
Mg3 0.0000 0.5000 0.3521
Mg4 0.0000 0.5000 0.6479
Mg5 0.5000 0.0000 0.3521
Mg6 0.5000 0.0000 0.6479
Cu1 0.5000 0.5000 0.5000
Pb1 0.5000 0.5000 0.0000

# NaMgSi
Theoretical powder X-ray diffraction pattern, Cu Kα X-rays. Input: DFT lattice parameters and positions (GGA-PBE).
Intensities are scaled so that the largest is 100.

Main lines, most intense first (10 to 90 degrees two-theta):
| Position (°2θ) | d_spacing | I/Imax |
| --- | --- | --- |
| 32.80 | 2.731 | 100 |
| 31.99 | 2.798 | 79 |
| 40.20 | 2.243 | 57 |
| 16.94 | 5.233 | 44 |
| 39.00 | 2.309 | 40 |
| 38.33 | 2.348 | 38 |

Atomic structure:
a b c (Å): 10.5183 4.4865 7.5401
angles (deg): 90.00 128.19 90.00
Positions (direct):
Na1 0.0870 0.0000 0.3446
Na2 0.4130 0.5000 0.6554
Na3 0.5870 0.5000 0.3446
Na4 0.9130 0.0000 0.6554
Mg1 0.1922 0.5000 0.0915
Mg2 0.3078 0.0000 0.9085
Mg3 0.6922 0.0000 0.0915
Mg4 0.8078 0.5000 0.9085
Si1 0.1287 0.5000 0.6834
Si2 0.3713 0.0000 0.3166
Si3 0.6287 0.0000 0.6834
Si4 0.8713 0.5000 0.3166

# HoTm3Al8
Theoretical powder X-ray diffraction pattern, Cu Kα X-rays. Input: DFT lattice parameters and positions (GGA-PBE).
Intensities are scaled so that the largest is 100.

Main lines, most intense first (10 to 90 degrees two-theta):
| Position (°2θ) | d_spacing | I/Imax |
| --- | --- | --- |
| 38.21 | 2.355 | 100 |
| 19.70 | 4.507 | 90 |
| 32.38 | 2.765 | 69 |
| 32.49 | 2.756 | 68 |
| 57.92 | 1.592 | 40 |
| 38.29 | 2.351 | 33 |

Atomic structure:
a b c (Å): 9.5879 9.5879 9.5879
angles (deg): 33.41 33.41 33.41
Positions (direct):
Ho1 0.0000 0.0000 0.0000
Tm1 0.3755 0.3755 0.3755
Tm2 0.4998 0.4998 0.4998
Tm3 0.8753 0.8753 0.8753
Al1 0.1876 0.1876 0.1876
Al2 0.4375 0.4375 0.9374
Al3 0.4375 0.9374 0.4375
Al4 0.4380 0.9377 0.9377
Al5 0.6877 0.6877 0.6877
Al6 0.9374 0.4375 0.4375
Al7 0.9377 0.4380 0.9377
Al8 0.9377 0.9377 0.4380

# Na2Al2Si3H6O13
Theoretical powder X-ray diffraction pattern, Cu Kα X-rays. Input: DFT lattice parameters and positions (GGA-PBE).
Intensities are scaled so that the largest is 100.

Main lines, most intense first (10 to 90 degrees two-theta):
| Position (°2θ) | d_spacing | I/Imax |
| --- | --- | --- |
| 30.02 | 2.977 | 100 |
| 13.06 | 6.780 | 99 |
| 31.00 | 2.885 | 61 |
| 30.49 | 2.932 | 54 |
| 19.96 | 4.448 | 46 |
| 19.73 | 4.500 | 45 |

Atomic structure:
a b c (Å): 10.2703 10.2703 9.8898
angles (deg): 95.40 95.40 142.86
Positions (direct):
Na1 0.0801 0.9199 0.5000
Na2 0.3674 0.6259 0.8214
Na3 0.6259 0.3674 0.3214
Na4 0.9199 0.0801 0.0000
Al1 0.0365 0.6206 0.9398
Al2 0.6206 0.0365 0.4398
Al3 0.7084 0.7789 0.2575
Al4 0.7789 0.7084 0.7575
Si1 0.0524 0.2826 0.3268
Si2 0.2826 0.0524 0.8268
Si3 0.2935 0.6356 0.1629
Si4 0.5591 0.7153 0.5305
Si5 0.6356 0.2935 0.6629
Si6 0.7153 0.5591 0.0305
H1 0.0262 0.5023 0.6806
H2 0.0629 0.6225 0.4916
H3 0.0816 0.1540 0.7718
H4 0.1255 0.7043 0.3566
H5 0.1443 0.9241 0.2210
H6 0.1540 0.0816 0.2718
H7 0.2435 0.7587 0.7160
H8 0.5023 0.0262 0.1806
H9 0.6225 0.0629 0.9916
H10 0.7043 0.1255 0.8566
H11 0.7587 0.2435 0.2160
H12 0.9241 0.1443 0.7210
O1 0.0235 0.6495 0.4142
O2 0.0599 0.2316 0.7946
O3 0.0652 0.9694 0.7605
O4 0.0882 0.3833 0.1910
O5 0.1693 0.6214 0.6556
O6 0.1967 0.6182 0.0123
O7 0.2064 0.8601 0.8791
O8 0.2316 0.0599 0.2946
O9 0.2903 0.4711 0.4491
O10 0.3756 0.8199 0.2913
O11 0.3833 0.0882 0.6910
O12 0.4711 0.2903 0.9491
O13 0.4963 0.6998 0.1548
O14 0.6097 0.7000 0.6847
O15 0.6182 0.1967 0.5123
O16 0.6214 0.1693 0.1556
O17 0.6223 0.9220 0.5592
O18 0.6495 0.0235 0.9142
O19 0.6998 0.4963 0.6548
O20 0.7000 0.6097 0.1847
O21 0.7090 0.7613 0.4339
O22 0.7613 0.7090 0.9339
O23 0.8199 0.3756 0.7913
O24 0.8601 0.2064 0.3791
O25 0.9220 0.6223 0.0592
O26 0.9694 0.0652 0.2605

# RbHfBe
Theoretical powder X-ray diffraction pattern, Cu Kα X-rays. Input: DFT lattice parameters and positions (GGA-PBE).
Intensities are scaled so that the largest is 100.

Main lines, most intense first (10 to 90 degrees two-theta):
| Position (°2θ) | d_spacing | I/Imax |
| --- | --- | --- |
| 25.00 | 3.562 | 100 |
| 28.07 | 3.179 | 49 |
| 27.91 | 3.197 | 47 |
| 23.14 | 3.844 | 41 |
| 41.53 | 2.174 | 38 |
| 41.34 | 2.184 | 38 |

Atomic structure:
a b c (Å): 3.6241 3.8838 13.5419
angles (deg): 98.09 90.37 90.00
Positions (direct):
Rb1 0.2412 0.3400 0.1708
Rb2 0.7588 0.6600 0.8292
Hf1 0.2521 0.0427 0.5873
Hf2 0.7479 0.9573 0.4127
Be1 0.2490 0.4787 0.4558
Be2 0.7510 0.5213 0.5442

# RbCaLa2Se4
Theoretical powder X-ray diffraction pattern, Cu Kα X-rays. Input: DFT lattice parameters and positions (GGA-PBE).
Intensities are scaled so that the largest is 100.

Main lines, most intense first (10 to 90 degrees two-theta):
| Position (°2θ) | d_spacing | I/Imax |
| --- | --- | --- |
| 28.57 | 3.124 | 100 |
| 40.84 | 2.210 | 49 |
| 66.96 | 1.397 | 21 |
| 50.95 | 1.792 | 13 |
| 50.25 | 1.816 | 13 |
| 41.26 | 2.188 | 12 |

Atomic structure:
a b c (Å): 8.8393 8.8393 8.8393
angles (deg): 120.66 119.38 89.97
Positions (direct):
Rb1 0.5000 0.0000 0.0000
Rb2 0.5000 0.5000 0.5000
Ca1 0.0000 0.0000 0.0000
Ca2 0.5000 0.0000 0.5000
La1 0.0000 0.0000 0.5000
La2 0.0000 0.5000 0.0000
La3 0.0000 0.5000 0.5000
La4 0.5000 0.5000 0.0000
Se1 0.2272 0.7485 0.4787
Se2 0.2302 0.2515 0.9787
Se3 0.2413 0.2394 0.4981
Se4 0.2413 0.7432 0.0019
Se5 0.7587 0.2568 0.9981
Se6 0.7587 0.7606 0.5019
Se7 0.7698 0.7485 0.0213
Se8 0.7728 0.2515 0.5213

# Nb4ReMo
Theoretical powder X-ray diffraction pattern, Cu Kα X-rays. Input: DFT lattice parameters and positions (GGA-PBE).
Intensities are scaled so that the largest is 100.

Main lines, most intense first (10 to 90 degrees two-theta):
| Position (°2θ) | d_spacing | I/Imax |
| --- | --- | --- |
| 39.15 | 2.301 | 100 |
| 39.38 | 2.288 | 49 |
| 71.26 | 1.323 | 33 |
| 70.80 | 1.331 | 17 |
| 56.92 | 1.618 | 17 |
| 84.16 | 1.150 | 11 |

Atomic structure:
a b c (Å): 3.2355 3.2355 9.8169
angles (deg): 90.00 90.00 90.00
Positions (direct):
Nb1 0.0000 0.0000 0.1610
Nb2 0.0000 0.0000 0.8390
Nb3 0.5000 0.5000 0.3376
Nb4 0.5000 0.5000 0.6624
Re1 0.5000 0.5000 0.0000
Mo1 0.0000 0.0000 0.5000

# CeAs4
Theoretical powder X-ray diffraction pattern, Cu Kα X-rays. Input: DFT lattice parameters and positions (GGA-PBE).
Intensities are scaled so that the largest is 100.

Main lines, most intense first (10 to 90 degrees two-theta):
| Position (°2θ) | d_spacing | I/Imax |
| --- | --- | --- |
| 26.08 | 3.416 | 100 |
| 29.99 | 2.980 | 62 |
| 37.40 | 2.405 | 47 |
| 42.73 | 2.116 | 36 |
| 47.27 | 1.923 | 35 |
| 24.66 | 3.611 | 24 |

Atomic structure:
a b c (Å): 6.3362 4.8532 8.6830
angles (deg): 90.00 96.99 90.00
Positions (direct):
Ce1 0.0000 0.0000 0.0000
Ce2 0.0000 0.5000 0.5000
As1 0.2592 0.2031 0.7561
As2 0.2592 0.2969 0.2561
As3 0.3942 0.6392 0.0866
As4 0.3942 0.8608 0.5866
As5 0.6058 0.1392 0.4134
As6 0.6058 0.3608 0.9134
As7 0.7408 0.7031 0.7439
As8 0.7408 0.7969 0.2439

# SnSb2PdBr
Theoretical powder X-ray diffraction pattern, Cu Kα X-rays. Input: DFT lattice parameters and positions (GGA-PBE).
Intensities are scaled so that the largest is 100.

Main lines, most intense first (10 to 90 degrees two-theta):
| Position (°2θ) | d_spacing | I/Imax |
| --- | --- | --- |
| 29.04 | 3.075 | 100 |
| 35.18 | 2.551 | 93 |
| 47.18 | 1.926 | 71 |
| 30.43 | 2.937 | 60 |
| 50.59 | 1.804 | 37 |
| 60.18 | 1.538 | 34 |

Atomic structure:
a b c (Å): 5.1042 5.1042 5.8745
angles (deg): 90.00 90.00 90.00
Positions (direct):
Sn1 0.0000 0.0000 0.0000
Sb1 0.0000 0.5000 0.5000
Sb2 0.5000 0.0000 0.5000
Pd1 0.0000 0.0000 0.5000
Br1 0.5000 0.5000 0.0000

# PmHoF4
Theoretical powder X-ray diffraction pattern, Cu Kα X-rays. Input: DFT lattice parameters and positions (GGA-PBE).
Intensities are scaled so that the largest is 100.

Main lines, most intense first (10 to 90 degrees two-theta):
| Position (°2θ) | d_spacing | I/Imax |
| --- | --- | --- |
| 23.56 | 3.776 | 100 |
| 28.87 | 3.093 | 98 |
| 44.84 | 2.021 | 78 |
| 33.55 | 2.671 | 27 |
| 57.16 | 1.612 | 23 |
| 48.20 | 1.888 | 19 |

Atomic structure:
a b c (Å): 6.5506 6.5506 6.5506
angles (deg): 109.60 109.60 109.21
Positions (direct):
Pm1 0.0000 0.0000 0.0000
Pm2 0.7500 0.2500 0.5000
Ho1 0.2246 0.7246 0.5000
Ho2 0.4746 0.4746 0.0000
F1 0.2586 0.5395 0.7191
F2 0.2687 0.9565 0.3122
F3 0.2895 0.0704 0.7809
F4 0.2895 0.5086 0.2191
F5 0.6442 0.9565 0.6878
F6 0.7065 0.5187 0.8122
F7 0.7065 0.8942 0.1878
F8 0.8204 0.5395 0.2809

# TaMnBe4
Theoretical powder X-ray diffraction pattern, Cu Kα X-rays. Input: DFT lattice parameters and positions (GGA-PBE).
Intensities are scaled so that the largest is 100.

Main lines, most intense first (10 to 90 degrees two-theta):
| Position (°2θ) | d_spacing | I/Imax |
| --- | --- | --- |
| 24.95 | 3.569 | 100 |
| 41.30 | 2.186 | 71 |
| 48.86 | 1.864 | 63 |
| 28.88 | 3.091 | 25 |
| 75.31 | 1.262 | 24 |
| 65.85 | 1.418 | 21 |

Atomic structure:
a b c (Å): 4.3716 4.3716 4.3716
angles (deg): 60.00 60.00 60.00
Positions (direct):
Ta1 0.0000 0.0000 0.0000
Mn1 0.7500 0.7500 0.7500
Be1 0.3759 0.3759 0.3759
Be2 0.3759 0.3759 0.8722
Be3 0.3759 0.8722 0.3759
Be4 0.8722 0.3759 0.3759